Record 1
TmScTlIn: simulated powder diffraction line list (Cu Kα), based on a crystal structure in Alexandria, relaxed with GGA-PBE.
Kinematic intensities with the Lorentz-polarization factor, no thermal factor.

The 8 most intense peaks (10 to 90 degrees two-theta), low angle first:
| hkl | two_theta | I/Imax |
| --- | --- | --- |
| 1 0 1 | 21.3 | 24 |
| 1 1 2 | 33.8 | 100 |
| 2 0 0 | 37.6 | 37 |
| 0 0 4 | 42.3 | 13 |
| 2 2 0 | 54.2 | 13 |
| 2 0 4 | 57.8 | 21 |
| 3 1 2 | 65.4 | 29 |
| 1 1 6 | 71.9 | 13 |

Lattice parameters (Å, degrees): 4.7863 4.7863 8.5494 90.00 90.00 90.00
Space group I-4m2 (No. 119)
Inequivalent atoms, fractional coordinates:
Tm 0.0000 0.0000 0.0000 [2 per cell]
Sc 0.0000 0.0000 0.5000 [2 per cell]
Tl 0.0000 0.5000 0.7500 [2 per cell]
In 0.0000 0.5000 0.2500 [2 per cell]


Record 2
Tm3Sc2In: simulated powder diffraction line list (Cu Kα), based on a crystal structure in Alexandria, relaxed with GGA-PBE.
Kinematic intensities with the Lorentz-polarization factor, no thermal factor.

The 8 most intense peaks (10 to 90 degrees two-theta), low angle first:
| hkl | two_theta | I/Imax |
| --- | --- | --- |
| 0 0 2 | 26.5 | 85 |
| 5 1 0 | 31.2 | 55 |
| 2 2 0 | 31.8 | 72 |
| 6 0 0 | 32.9 | 52 |
| 4 0 2 | 34.6 | 100 |
| 3 1 2 | 34.8 | 73 |
| 2 2 2 | 41.9 | 60 |
| 3 3 2 | 56.2 | 39 |

Lattice parameters (Å, degrees): 16.3235 5.9974 6.7163 90.00 90.00 90.00
Space group Cmcm (No. 63)
Inequivalent atoms, fractional coordinates:
Tm 0.0000 0.1842 0.2500 [4 per cell]
Tm 0.1888 0.0349 0.7500 [8 per cell]
Sc 0.1365 0.5000 0.0000 [8 per cell]
In 0.0000 0.3058 0.7500 [4 per cell]


Record 3
Tm3Sc3In: simulated powder diffraction line list (Cu Kα), based on a crystal structure in Alexandria, relaxed with GGA-PBE.
Kinematic intensities with the Lorentz-polarization factor, no thermal factor.

The 8 most intense peaks (10 to 90 degrees two-theta), low angle first:
| hkl | two_theta | I/Imax |
| --- | --- | --- |
| 0 1 -1 | 12.8 | 61 |
| 1 1 -2 | 23.0 | 87 |
| 1 2 0 | 32.7 | 100 |
| 2 -1 1 | 34.0 | 100 |
| 1 2 -3 | 34.2 | 70 |
| -2 1 2 | 34.6 | 97 |
| 1 -3 1 | 34.7 | 94 |
| 0 0 3 | 36.5 | 64 |

Lattice parameters (Å, degrees): 6.3739 8.0727 8.6247 112.93 106.37 97.71
Space group P-1 (No. 2)
Inequivalent atoms, fractional coordinates:
Tm 0.1224 0.4182 0.2095 [2 per cell]
Tm 0.1439 0.8483 0.4791 [2 per cell]
Tm 0.3635 0.8632 0.1703 [2 per cell]
Sc 0.1236 0.0125 0.8736 [2 per cell]
Sc 0.3629 0.2622 0.4996 [2 per cell]
Sc 0.3916 0.6940 0.7666 [2 per cell]
In 0.2717 0.3825 0.8763 [2 per cell]


Record 4
Tm12Sc6In: simulated powder diffraction line list (Cu Kα), based on a crystal structure in Alexandria, relaxed with GGA-PBE.
Kinematic intensities with the Lorentz-polarization factor, no thermal factor.

The 8 most intense peaks (10 to 90 degrees two-theta), low angle first:
| hkl | two_theta | I/Imax |
| --- | --- | --- |
| 3 -1 1 | 24.7 | 74 |
| 0 1 5 | 32.1 | 64 |
| 0 3 3 | 33.0 | 39 |
| 4 -3 1 | 33.4 | 92 |
| 2 1 4 | 34.5 | 100 |
| 4 -1 2 | 35.1 | 26 |
| 4 -2 3 | 36.7 | 27 |
| 7 -3 1 | 57.3 | 28 |

Lattice parameters (Å, degrees): 11.3622 11.3622 14.5610 90.00 90.00 120.00
Space group R-3 (No. 148, hexagonal axes)
Inequivalent atoms, fractional coordinates:
Tm 0.0105 0.8257 0.3166 [18 per cell]
Tm 0.0473 0.2000 0.9129 [18 per cell]
Sc 0.0275 0.5930 0.1913 [18 per cell]
In 0.0000 0.0000 0.5000 [3 per cell]


Record 5
Tm2Sc2In3: simulated powder diffraction line list (Cu Kα), based on a crystal structure in Alexandria, relaxed with GGA-PBE.
Kinematic intensities with the Lorentz-polarization factor, no thermal factor.

The 8 most intense peaks (10 to 90 degrees two-theta), low angle first:
| hkl | two_theta | I/Imax |
| --- | --- | --- |
| 1 5 0 | 27.5 | 25 |
| 1 7 0 | 33.8 | 84 |
| 1 1 1 | 33.9 | 100 |
| 0 6 1 | 36.6 | 53 |
| 2 0 0 | 38.6 | 32 |
| 2 6 1 | 54.2 | 34 |
| 3 7 0 | 66.8 | 25 |
| 1 7 2 | 67.8 | 21 |

Lattice parameters (Å, degrees): 4.6651 22.5795 3.2401 90.00 90.00 90.00
Space group Cmmm (No. 65)
Inequivalent atoms, fractional coordinates:
Tm 0.0000 0.0734 0.0000 [4 per cell]
Sc 0.0000 0.2106 0.0000 [4 per cell]
In 0.0000 0.3439 0.5000 [4 per cell]
In 0.0000 0.5000 0.5000 [2 per cell]


Record 6
Tm3Sc2In: simulated powder diffraction line list (Cu Kα), based on a crystal structure in Alexandria, relaxed with GGA-PBE.
Kinematic intensities with the Lorentz-polarization factor, no thermal factor.

The 8 most intense peaks (10 to 90 degrees two-theta), low angle first:
| hkl | two_theta | I/Imax |
| --- | --- | --- |
| 1 1 1 | 18.9 | 20 |
| 1 3 0 | 28.6 | 17 |
| 1 1 -3 | 32.7 | 20 |
| 0 2 3 | 33.3 | 100 |
| 2 2 -1 | 33.7 | 82 |
| 2 0 2 | 34.4 | 46 |
| 1 3 2 | 34.8 | 35 |
| 2 4 2 | 48.7 | 21 |

Lattice parameters (Å, degrees): 6.4212 10.7364 9.3357 90.00 91.61 90.00
Space group C2/c (No. 15)
Inequivalent atoms, fractional coordinates:
Tm 0.0000 0.1169 0.2500 [4 per cell]
Tm 0.1649 0.1557 0.6149 [8 per cell]
Sc 0.1695 0.3850 0.0518 [8 per cell]
In 0.0000 0.4165 0.7500 [4 per cell]


Copy entry 3 word for word.
Tm3Sc3In: simulated powder diffraction line list (Cu Kα), based on a crystal structure in Alexandria, relaxed with GGA-PBE.
Kinematic intensities with the Lorentz-polarization factor, no thermal factor.

The 8 most intense peaks (10 to 90 degrees two-theta), low angle first:
| hkl | two_theta | I/Imax |
| --- | --- | --- |
| 0 1 -1 | 12.8 | 61 |
| 1 1 -2 | 23.0 | 87 |
| 1 2 0 | 32.7 | 100 |
| 2 -1 1 | 34.0 | 100 |
| 1 2 -3 | 34.2 | 70 |
| -2 1 2 | 34.6 | 97 |
| 1 -3 1 | 34.7 | 94 |
| 0 0 3 | 36.5 | 64 |

Lattice parameters (Å, degrees): 6.3739 8.0727 8.6247 112.93 106.37 97.71
Space group P-1 (No. 2)
Inequivalent atoms, fractional coordinates:
Tm 0.1224 0.4182 0.2095 [2 per cell]
Tm 0.1439 0.8483 0.4791 [2 per cell]
Tm 0.3635 0.8632 0.1703 [2 per cell]
Sc 0.1236 0.0125 0.8736 [2 per cell]
Sc 0.3629 0.2622 0.4996 [2 per cell]
Sc 0.3916 0.6940 0.7666 [2 per cell]
In 0.2717 0.3825 0.8763 [2 per cell]